This entry pairs a crystal structure of NaHoF3 with its theoretical powder diffractogram. Radiation: CuKα. Structure: a cell relaxed with GGA-PBE.

Structure:
```
data_NaHoF3
_chemical_formula_sum 'Na1 Ho1 F3'
_cell_length_a 5.9740
_cell_length_b 5.9740
_cell_length_c 3.2394
_cell_angle_alpha 90.00
_cell_angle_beta 90.00
_cell_angle_gamma 120.00
_symmetry_space_group_name_H-M 'P -6 m 2'
_symmetry_Int_Tables_number 187
_symmetry_space_group_name_Hall 'P -6 2'
loop_
_atom_site_label
_atom_site_type_symbol
_atom_site_fract_x
_atom_site_fract_y
_atom_site_fract_z
Na1 Na 0.0000 0.0000 0.0000
Ho1 Ho 0.6667 0.3333 0.0000
F1 F 0.3601 0.1801 0.5000
```

Top 10 peaks for 10 to 90 degrees two-theta, sorted by position:
2theta	d [Å]	I/Imax	h k l
17.14	5.174	100	1 0 0
29.91	2.987	25	1 1 0
32.61	2.746	26	1 0 1
34.68	2.587	9	2 0 0
41.10	2.196	32	1 1 1
44.84	2.021	21	2 0 1
46.44	1.955	13	2 1 0
54.84	1.674	15	2 1 1
59.83	1.546	7	1 0 2
60.85	1.522	10	3 0 1